Computed powder diffractogram
Compound: CsMg2In9
Radiation: copper Kα
Structure: a GGA-PBE-relaxed structure
Neutral-atom scattering factors, no anomalous dispersion.

Structure:
abc: 10.6246 10.6246 3.5227
angles: 90.00 90.00 120.00
Atoms (fractional coordinates):
Cs: 0.0000 0.0000 0.0000
Mg: 0.3333 0.6667 0.0000
Mg: 0.6667 0.3333 0.0000
In: 0.0000 0.5000 0.0000
In: 0.1902 0.3804 0.5000
In: 0.1902 0.8098 0.5000
In: 0.3804 0.1902 0.5000
In: 0.5000 0.0000 0.0000
In: 0.5000 0.5000 0.0000
In: 0.6196 0.8098 0.5000
In: 0.8098 0.1902 0.5000
In: 0.8098 0.6196 0.5000

Main lines, by intensity (2θ = 10–80°):
- 32.00°, I 100
- 33.74°, I 80
- 25.61°, I 28
- 36.30°, I 27
- 63.36°, I 25
- 59.26°, I 24
- 47.19°, I 23
- 56.41°, I 13



Computed powder diffractogram
Compound: Cs2MgTl2In
Radiation: copper Kα
Structure: a GGA-PBE-relaxed structure
Neutral-atom scattering factors, no anomalous dispersion.

Structure:
abc: 10.6275 10.6275 7.3178
angles: 110.09 110.09 40.16
Atoms (fractional coordinates):
Cs: 0.0690 0.5894 0.8295
Cs: 0.4106 0.9310 0.6705
Cs: 0.5894 0.0690 0.3295
Cs: 0.9310 0.4106 0.1705
Mg: 0.5003 0.4997 0.2500
Mg: 0.4997 0.5003 0.7500
Tl: 0.1677 0.6529 0.4103
Tl: 0.3471 0.8323 0.0897
Tl: 0.6529 0.1677 0.9103
Tl: 0.8323 0.3471 0.5897
In: 0.9999 0.0001 0.2500
In: 0.0001 0.9999 0.7500

Main lines, by intensity (2θ = 10–80°):
- 25.79°, I 100
- 31.14°, I 52
- 24.36°, I 51
- 34.72°, I 50
- 43.74°, I 36
- 42.68°, I 30
- 56.13°, I 20
- 19.66°, I 12



Computed powder diffractogram
Compound: CsMg2Tl2In2
Radiation: copper Kα
Structure: a GGA-PBE-relaxed structure
Neutral-atom scattering factors, no anomalous dispersion.

Structure:
abc: 9.9919 4.4786 10.4835
angles: 90.00 94.77 90.00
Atoms (fractional coordinates):
Cs: 0.0000 0.0000 0.0000
Cs: 0.5000 0.5000 0.0000
Mg: 0.1425 0.0000 0.4486
Mg: 0.3575 0.5000 0.5514
Mg: 0.6425 0.5000 0.4486
Mg: 0.8575 0.0000 0.5514
Tl: 0.2220 0.5000 0.2446
Tl: 0.2780 0.0000 0.7554
Tl: 0.7220 0.0000 0.2446
Tl: 0.7780 0.5000 0.7554
In: 0.0688 0.5000 0.6454
In: 0.4312 0.0000 0.3546
In: 0.5688 0.0000 0.6454
In: 0.9312 0.5000 0.3546

Main lines, by intensity (2θ = 10–80°):
- 23.65°, I 100
- 34.14°, I 48
- 34.40°, I 29
- 28.19°, I 26
- 40.29°, I 25
- 16.97°, I 18
- 69.30°, I 14
- 37.84°, I 14



Computed powder diffractogram
Compound: CsNa2In
Radiation: copper Kα
Structure: a GGA-PBE-relaxed structure
Neutral-atom scattering factors, no anomalous dispersion.

Structure:
abc: 7.5303 9.4088 11.5211
angles: 90.00 117.28 90.00
Atoms (fractional coordinates):
Cs: 0.0764 0.0938 0.2015
Cs: 0.0764 0.4062 0.7015
Cs: 0.9236 0.5938 0.2985
Cs: 0.9236 0.9062 0.7985
Na: 0.2701 0.6159 0.0995
Na: 0.2701 0.8841 0.5995
Na: 0.4663 0.2153 0.6031
Na: 0.4663 0.2847 0.1031
Na: 0.5337 0.7153 0.8969
Na: 0.5337 0.7847 0.3969
Na: 0.7299 0.1159 0.4005
Na: 0.7299 0.3841 0.9005
In: 0.4937 0.0738 0.8863
In: 0.4937 0.4262 0.3863
In: 0.5063 0.5738 0.6137
In: 0.5063 0.9262 0.1137

Main lines, by intensity (2θ = 10–80°):
- 12.78°, I 100
- 25.72°, I 99
- 26.81°, I 89
- 32.96°, I 80
- 18.84°, I 73
- 22.43°, I 55
- 26.64°, I 39
- 29.10°, I 38



Computed powder diffractogram
Compound: Cs3Na5In6
Radiation: copper Kα
Structure: a GGA-PBE-relaxed structure
Neutral-atom scattering factors, no anomalous dispersion.

Structure:
abc: 10.8378 10.8378 10.8378
angles: 151.94 102.55 84.27
Atoms (fractional coordinates):
Cs: 0.0000 0.0000 0.0000
Cs: 0.3138 0.3138 0.0000
Cs: 0.6862 0.6862 0.0000
Na: 0.0025 0.6920 0.3105
Na: 0.3814 0.6920 0.6895
Na: 0.5000 0.0000 0.5000
Na: 0.6186 0.3080 0.3105
Na: 0.9975 0.3080 0.6895
In: 0.1885 0.9002 0.2884
In: 0.2714 0.5000 0.7714
In: 0.3882 0.0998 0.2884
In: 0.6118 0.9002 0.7116
In: 0.7286 0.5000 0.2286
In: 0.8115 0.0998 0.7116

Main lines, by intensity (2θ = 10–80°):
- 27.17°, I 100
- 26.00°, I 54
- 32.65°, I 51
- 26.29°, I 45
- 35.30°, I 43
- 34.12°, I 43
- 17.79°, I 38
- 17.11°, I 34



Computed powder diffractogram
Compound: CsNa10In2
Radiation: copper Kα
Structure: a GGA-PBE-relaxed structure
Neutral-atom scattering factors, no anomalous dispersion.

Structure:
abc: 9.0560 9.0560 11.7928
angles: 90.00 90.00 97.42
Atoms (fractional coordinates):
Cs: 0.1214 0.8786 0.7500
Cs: 0.8786 0.1214 0.2500
Na: 0.1241 0.4117 0.7500
Na: 0.1696 0.8304 0.0922
Na: 0.1696 0.8304 0.4078
Na: 0.2270 0.4770 0.2500
Na: 0.2304 0.2304 0.0000
Na: 0.2304 0.2304 0.5000
Na: 0.3799 0.6201 0.5565
Na: 0.3799 0.6201 0.9435
Na: 0.4117 0.1241 0.2500
Na: 0.4770 0.2270 0.7500
Na: 0.5230 0.7730 0.2500
Na: 0.5883 0.8759 0.7500
Na: 0.6201 0.3799 0.0565
Na: 0.6201 0.3799 0.4435
Na: 0.7696 0.7696 0.0000
Na: 0.7696 0.7696 0.5000
Na: 0.7730 0.5230 0.7500
Na: 0.8304 0.1696 0.5922
Na: 0.8304 0.1696 0.9078
Na: 0.8759 0.5883 0.2500
In: 0.0000 0.5000 0.0000
In: 0.0000 0.5000 0.5000
In: 0.5000 0.0000 0.0000
In: 0.5000 0.0000 0.5000

Main lines, by intensity (2θ = 10–80°):
- 30.25°, I 100
- 21.17°, I 67
- 30.33°, I 50
- 43.11°, I 43
- 13.01°, I 40
- 29.89°, I 39
- 33.91°, I 33
- 43.34°, I 26